Entry 1:
This entry pairs a crystal structure of Sc9Te2 with its calculated powder X-ray diffraction pattern. Radiation: Cu Kα, 1.54184 Å. Structure: a DFT-relaxed cell (PBE, the Materials Project).
Lines closer than 0.1° are merged.

Principal peaks in the range 2θ from 10° to 90°, by angle:
| 2θ (°) | d [Å] | intensity |
| --- | --- | --- |
| 10.2 | 8.680 | 40 |
| 19.1 | 4.650 | 34 |
| 25.1 | 3.541 | 21 |
| 33.0 | 2.713 | 67 |
| 34.2 | 2.624 | 100 |
| 36.0 | 2.495 | 20 |
| 36.6 | 2.456 | 84 |
| 37.9 | 2.375 | 28 |
| 38.1 | 2.364 | 31 |
| 46.8 | 1.939 | 25 |

Atomic structure:
Lattice parameters (Å, degrees): 7.757 15.629 17.359 90.00 90.00 90.00
Space group Cmc2_1 (No. 36)
Unique sites:
Sc  0.000  0.015  0.080
Sc  0.000  0.069  0.870
Sc  0.000  0.136  0.308
Sc  0.000  0.181  0.710
Sc  0.000  0.226  0.488
Sc  0.000  0.265  0.000
Sc  0.000  0.326  0.216
Sc  0.000  0.386  0.773
Sc  0.000  0.424  0.364
Sc  0.000  0.475  0.593
Sc  0.221  0.011  0.734
Sc  0.222  0.238  0.846
Sc  0.224  0.176  0.154
Sc  0.224  0.426  0.926
Te  0.247  0.381  0.489
Te  0.248  0.370  0.091



Entry 2:
This entry pairs a crystal structure of Sc2Te with its calculated powder X-ray diffraction pattern. Radiation: Cu Kα, 1.54184 Å. Structure: a DFT-relaxed cell (PBE, the Materials Project).
Lines closer than 0.1° are merged.

Principal peaks in the range 2θ from 10° to 90°, by angle:
| 2θ (°) | d [Å] | intensity |
| --- | --- | --- |
| 24.1 | 3.694 | 77 |
| 32.8 | 2.734 | 100 |
| 33.8 | 2.651 | 34 |
| 34.5 | 2.596 | 44 |
| 35.0 | 2.565 | 40 |
| 35.9 | 2.500 | 57 |
| 36.4 | 2.468 | 68 |
| 38.9 | 2.315 | 48 |
| 40.9 | 2.206 | 29 |
| 46.0 | 1.971 | 46 |

Atomic structure:
Lattice parameters (Å, degrees): 20.278 3.942 10.744 90.00 90.00 90.00
Space group Pnma (No. 62)
Unique sites:
Sc  0.010  0.250  0.107
Sc  0.032  0.750  0.380
Sc  0.107  0.250  0.842
Sc  0.137  0.750  0.069
Sc  0.163  0.250  0.535
Sc  0.228  0.750  0.753
Te  0.074  0.750  0.646
Te  0.126  0.250  0.277
Te  0.236  0.250  0.968



Entry 3:
This entry pairs a crystal structure of ScTlTe2 with its calculated powder X-ray diffraction pattern. Radiation: Cu Kα, 1.54184 Å. Structure: a DFT-relaxed cell (PBE, the Materials Project).
Lines closer than 0.1° are merged.

Principal peaks in the range 2θ from 10° to 90°, by angle:
| 2θ (°) | d [Å] | intensity |
| --- | --- | --- |
| 24.3 | 3.656 | 20 |
| 28.2 | 3.163 | 100 |
| 30.3 | 2.949 | 28 |
| 33.0 | 2.714 | 12 |
| 38.2 | 2.355 | 35 |
| 42.3 | 2.135 | 36 |
| 51.6 | 1.770 | 19 |
| 54.7 | 1.678 | 18 |
| 68.9 | 1.363 | 15 |
| 86.8 | 1.122 | 11 |

Atomic structure:
Lattice parameters (Å, degrees): 4.2702 4.2702 24.4299 90.00 90.00 120.00
Space group R-3m (No. 166, hexagonal axes)
Unique sites:
Sc  0.0000  0.0000  0.0000
Tl  0.0000  0.0000  0.5000
Te  0.0000  0.0000  0.2659



Entry 4:
This entry pairs a crystal structure of ThSc3 with its calculated powder X-ray diffraction pattern. Radiation: Cu Kα, 1.54184 Å. Structure: a DFT-relaxed cell (PBE, the Materials Project).
Lines closer than 0.1° are merged.

Principal peaks in the range 2θ from 10° to 90°, by angle:
| 2θ (°) | d [Å] | intensity |
| --- | --- | --- |
| 19.3 | 4.597 | 21 |
| 20.8 | 4.278 | 73 |
| 26.1 | 3.418 | 21 |
| 32.7 | 2.743 | 100 |
| 34.7 | 2.588 | 21 |
| 37.2 | 2.417 | 35 |
| 39.2 | 2.298 | 15 |
| 43.0 | 2.104 | 24 |
| 55.1 | 1.665 | 22 |
| 64.2 | 1.450 | 27 |

Atomic structure:
Lattice parameters (Å, degrees): 4.833 4.833 9.193 90.00 90.00 90.00
Space group I4/mmm (No. 139)
Unique sites:
Th  0.000  0.000  0.000
Sc  0.000  0.000  0.500
Sc  0.000  0.500  0.250